The following is a computed powder X-ray diffraction pattern of Ag3SnF7. It was derived from a cell relaxed with GGA-PBE, using λ = 1.5418 Å (Cu Kα).

Principal peaks in the range 10 to 80 degrees two-theta, sorted by position:
d_spacing	I/Imax
3.438	58
3.162	100
2.977	39
2.840	52
2.585	15
2.019	55
1.998	24
1.820	14
1.776	20
1.728	22
1.659	12
1.582	16

Atomic structure:
```
Ag3SnF7
1.0
4.082 -3.996 0.000
4.082 3.996 0.000
-3.311 0.000 5.171
Ag Sn F
3 1 7
direct
0.000 0.000 0.000
0.248 0.747 0.600
0.747 0.248 0.600
0.527 0.527 0.122
0.174 0.491 0.819
0.347 0.837 0.265
0.363 0.363 0.278
0.491 0.174 0.819
0.679 0.679 0.950
0.804 0.804 0.479
0.837 0.347 0.265
```

---

The following is a computed powder X-ray diffraction pattern of TlAgSnF6. It was derived from a cell relaxed with GGA-PBE, using λ = 1.5418 Å (Cu Kα).

Principal peaks in the range 10 to 80 degrees two-theta, sorted by position:
d_spacing	I/Imax
3.838	100
3.812	50
3.095	42
3.070	20
2.414	14
2.404	14
2.392	13
2.056	32
2.050	16
2.038	12
1.901	14
1.777	14

Atomic structure:
```
TlAgSnF6
1.0
3.070 -5.376 0.000
3.070 5.376 0.000
-0.040 0.000 5.488
Tl Ag Sn F
1 1 1 6
direct
0.000 0.000 0.000
0.665 0.335 0.500
0.333 0.667 0.500
0.058 0.402 0.291
0.058 0.656 0.704
0.340 0.402 0.705
0.344 0.942 0.296
0.598 0.660 0.295
0.598 0.942 0.709
```

---

The following is a computed powder X-ray diffraction pattern of Sr2AgF6. It was derived from a cell relaxed with GGA-PBE, using λ = 1.5418 Å (Cu Kα).

Principal peaks in the range 10 to 80 degrees two-theta, sorted by position:
d_spacing	I/Imax
3.786	100
3.131	83
2.677	17
2.035	77
1.930	13
1.893	19
1.719	20
1.693	14
1.620	26
1.386	12
1.351	12
1.231	12

Atomic structure:
```
Sr2AgF6
1.0
5.354 0.000 0.000
0.000 5.354 0.000
0.000 0.000 11.580
Sr Ag F
4 2 12
direct
0.000 0.000 0.167
0.000 0.000 0.833
0.500 0.500 0.333
0.500 0.500 0.667
0.000 0.000 0.500
0.500 0.500 0.000
0.186 0.186 0.336
0.186 0.186 0.664
0.218 0.218 0.000
0.282 0.718 0.500
0.314 0.686 0.164
0.314 0.686 0.836
0.686 0.314 0.164
0.686 0.314 0.836
0.718 0.282 0.500
0.782 0.782 0.000
0.814 0.814 0.336
0.814 0.814 0.664
```

---

The following is a computed powder X-ray diffraction pattern of SrAg3F12. It was derived from a cell relaxed with GGA-PBE, using λ = 1.5418 Å (Cu Kα).

Principal peaks in the range 10 to 80 degrees two-theta, sorted by position:
d_spacing	I/Imax
5.936	9
5.297	9
3.707	100
3.058	34
2.595	29
2.359	19
2.032	10
1.978	16
1.868	25
1.852	9
1.766	14
1.460	12

Atomic structure:
```
SrAg3F12
1.0
5.297 3.058 5.190
-5.297 3.058 5.190
0.000 -6.116 5.190
Sr Ag F
2 6 24
direct
0.000 0.000 0.000
0.500 0.500 0.500
0.119 0.819 0.465
0.319 0.619 0.965
0.465 0.119 0.819
0.619 0.965 0.319
0.819 0.465 0.119
0.965 0.319 0.619
0.018 0.307 0.059
0.059 0.018 0.307
0.113 0.114 0.688
0.114 0.688 0.113
0.118 0.382 0.421
0.188 0.614 0.613
0.252 0.826 0.821
0.307 0.059 0.018
0.321 0.326 0.752
0.326 0.752 0.321
0.382 0.421 0.118
0.421 0.118 0.382
0.518 0.559 0.807
0.559 0.807 0.518
0.613 0.188 0.614
0.614 0.613 0.188
0.618 0.921 0.882
0.688 0.113 0.114
0.752 0.321 0.326
0.807 0.518 0.559
0.821 0.252 0.826
0.826 0.821 0.252
0.882 0.618 0.921
0.921 0.882 0.618
```